1.
Structure and simulated powder diffractogram of Dy4Er3Cu2Te2 (a crystal structure in OQMD, relaxed with GGA-PBE; Cu Kα (λ = 1.5418 Å)).
Lines closer than 0.1° are merged.

Principal peaks in the range 10° ≤ 2θ ≤ 90°, by angle:
2theta  d/Å  I/Imax
28.5  3.135  23
29.9  2.984  53
30.3  2.952  24
33.0  2.713  70
33.8  2.656  100
34.2  2.621  51
36.3  2.478  21
46.1  1.970  30
51.0  1.792  23
57.8  1.594  33

Structural model:
```
11
Lattice="-1.9704 7.7579 4.7804 1.9704 -7.7579 4.7804 1.9704 7.7579 -4.7804" Properties=species:S:1:pos:R:3 pbc="T T T"
Dy 0.0000 2.0052 0.0000
Dy 0.0000 5.5318 1.4504
Dy 0.0000 9.9841 1.4504
Dy 0.0000 13.5106 0.0000
Er 1.9704 -2.8699 2.8225
Er 0.0000 0.0000 3.9683
Er 1.9704 2.8699 2.8225
Cu 1.9704 4.0869 -0.1084
Cu 0.0000 3.6710 4.6720
Te 1.9704 0.0000 1.4628
Te 0.0000 0.0000 7.1905
```

=====

2.
Structure and simulated powder diffractogram of Dy4ErTm2Cu2Te2 (a crystal structure in OQMD, relaxed with GGA-PBE; Cu Kα (λ = 1.5418 Å)).
Lines closer than 0.1° are merged.

Principal peaks in the range 10° ≤ 2θ ≤ 90°, by angle:
2theta  d/Å  I/Imax
28.5  3.130  23
30.0  2.983  53
30.4  2.940  25
33.1  2.708  70
33.8  2.651  100
34.3  2.618  52
36.3  2.477  22
46.1  1.971  30
51.1  1.786  24
57.9  1.593  33

Structural model:
```
11
Lattice="-1.9707 7.7262 4.7755 1.9707 -7.7262 4.7755 1.9707 7.7262 -4.7755" Properties=species:S:1:pos:R:3 pbc="T T T"
Dy 0.0000 1.9978 0.0000
Dy 0.0000 5.5049 1.4517
Dy 0.0000 9.9476 1.4517
Dy 0.0000 13.4546 0.0000
Er 0.0000 0.0000 3.9611
Tm 1.9707 -2.8581 2.8189
Tm 1.9707 2.8581 2.8189
Cu 1.9707 4.0759 -0.1207
Cu 0.0000 3.6503 4.6548
Te 1.9707 0.0000 1.4628
Te 0.0000 0.0000 7.1782
```

=====

Repeat the first record exactly.
Structure and simulated powder diffractogram of Dy4Er3Cu2Te2 (a crystal structure in OQMD, relaxed with GGA-PBE; Cu Kα (λ = 1.5418 Å)).
Lines closer than 0.1° are merged.

Principal peaks in the range 10° ≤ 2θ ≤ 90°, by angle:
2theta  d/Å  I/Imax
28.5  3.135  23
29.9  2.984  53
30.3  2.952  24
33.0  2.713  70
33.8  2.656  100
34.2  2.621  51
36.3  2.478  21
46.1  1.970  30
51.0  1.792  23
57.8  1.594  33

Structural model:
```
11
Lattice="-1.9704 7.7579 4.7804 1.9704 -7.7579 4.7804 1.9704 7.7579 -4.7804" Properties=species:S:1:pos:R:3 pbc="T T T"
Dy 0.0000 2.0052 0.0000
Dy 0.0000 5.5318 1.4504
Dy 0.0000 9.9841 1.4504
Dy 0.0000 13.5106 0.0000
Er 1.9704 -2.8699 2.8225
Er 0.0000 0.0000 3.9683
Er 1.9704 2.8699 2.8225
Cu 1.9704 4.0869 -0.1084
Cu 0.0000 3.6710 4.6720
Te 1.9704 0.0000 1.4628
Te 0.0000 0.0000 7.1905
```